(1)
Theoretical powder diffractogram of Ac7TbY2 for copper Kα, from a cell relaxed with GGA-PBE.
No peak broadening, texture or thermal motion is included.

Main lines, sorted by position (2θ = 5–70°):
Position (°2θ)	d [Å]	I/Imax
14.54	6.093	51
22.85	3.891	47
26.01	3.426	76
27.84	3.205	100
29.32	3.046	73
30.79	2.904	84
31.98	2.798	68
40.87	2.208	73
55.31	1.661	28
59.14	1.562	25

Structural model:
```
Ac7TbY2
1.0
5.057 -8.287 0.000
5.057 8.287 0.000
0.000 0.000 6.093
Ac Tb Y
7 1 2
Direct
0.000 0.000 0.000
0.194 0.437 0.000
0.263 0.737 0.500
0.437 0.194 0.000
0.563 0.806 0.000
0.737 0.263 0.500
0.806 0.563 0.000
0.500 0.500 0.500
0.202 0.798 0.000
0.798 0.202 0.000
```



(2)
Theoretical powder diffractogram of Pm3Tl2BRh3 for copper Kα, from a cell relaxed with GGA-PBE.
No peak broadening, texture or thermal motion is included.

Main lines, sorted by position (2θ = 5–70°):
Position (°2θ)	d [Å]	I/Imax
22.89	3.885	17
33.54	2.672	100
35.29	2.544	27
36.17	2.483	14
40.20	2.243	30
43.24	2.092	25
46.76	1.943	11
49.55	1.840	12
65.61	1.423	20
68.83	1.364	30

Structural model:
```
Pm3Tl2BRh3
1.0
7.771 0.000 0.000
-3.885 6.730 0.000
0.000 0.000 3.680
Pm Tl B Rh
3 2 1 3
Direct
0.000 0.348 0.000
0.348 0.000 0.000
0.652 0.652 0.000
0.333 0.667 0.500
0.667 0.333 0.500
0.000 0.000 0.000
0.000 0.797 0.500
0.203 0.203 0.500
0.797 0.000 0.500
```



(3)
Theoretical powder diffractogram of Tm5Tl4Ir2 for copper Kα, from a cell relaxed with GGA-PBE.
No peak broadening, texture or thermal motion is included.

Main lines, sorted by position (2θ = 5–70°):
Position (°2θ)	d [Å]	I/Imax
31.54	2.837	38
33.51	2.675	76
34.76	2.581	100
34.96	2.567	45
36.33	2.473	41
36.52	2.460	33
36.72	2.447	55
37.16	2.419	24
50.29	1.814	30
63.59	1.463	33

Structural model:
```
Tm5Tl4Ir2
1.0
8.027 0.000 0.000
0.000 18.193 0.000
0.000 0.000 3.629
Tm Tl Ir
10 8 4
Direct
0.000 0.000 0.000
0.112 0.409 0.000
0.244 0.221 0.000
0.256 0.721 0.000
0.388 0.909 0.000
0.500 0.500 0.000
0.612 0.091 0.000
0.744 0.279 0.000
0.756 0.779 0.000
0.888 0.591 0.000
0.075 0.854 0.500
0.207 0.563 0.500
0.293 0.063 0.500
0.425 0.354 0.500
0.575 0.646 0.500
0.707 0.937 0.500
0.793 0.437 0.500
0.925 0.146 0.500
0.021 0.302 0.500
0.479 0.802 0.500
0.521 0.198 0.500
0.979 0.698 0.500
```



(4)
Theoretical powder diffractogram of Er5Sc5Sb6 for copper Kα, from a cell relaxed with GGA-PBE.
No peak broadening, texture or thermal motion is included.

Main lines, sorted by position (2θ = 5–70°):
Position (°2θ)	d [Å]	I/Imax
20.49	4.335	45
29.55	3.023	83
34.70	2.585	84
34.87	2.573	100
34.97	2.566	81
35.68	2.516	42
36.20	2.481	89
55.80	1.647	23
55.96	1.643	48
61.37	1.511	27

Structural model:
```
Er5Sc5Sb6
1.0
6.046 0.000 0.000
0.000 7.488 4.370
0.000 -7.488 4.370
Er Sc Sb
5 5 6
Direct
0.000 0.000 0.000
0.000 0.249 0.491
0.000 0.491 0.249
0.500 0.004 0.248
0.500 0.248 0.004
0.250 0.581 0.916
0.250 0.916 0.581
0.500 0.499 0.499
0.750 0.581 0.916
0.750 0.916 0.581
0.000 0.249 0.853
0.000 0.642 0.642
0.000 0.853 0.249
0.500 0.253 0.640
0.500 0.640 0.253
0.500 0.851 0.851
```